Simulated powder XRD pattern of Sm7Y12In for λ = 1.5418 Å (Cu Kα), from DFT lattice parameters and positions (GGA-PBE).
Lines closer than 0.1° are merged.

Principal peaks in the range 10° ≤ 2θ ≤ 90°, by angle:
2theta  I (rel.)
22.37  15
28.27  18
29.42  37
30.77  59
31.43  97
32.01  44
32.97  100
51.58  23
53.09  20
54.78  18

Crystal structure
abc: 12.0443 12.0443 15.8672
angles: 90.00 90.00 120.00
Space group R-3 (No. 148, hexagonal axes)
Symmetry-distinct sites (fractional):
Sm: 0.0000 0.0000 0.0000 [3 per cell]
Sm: 0.0609 0.1855 0.2950 [18 per cell]
Y: 0.0382 0.4592 0.2145 [18 per cell]
Y: 0.0572 0.5810 0.5848 [18 per cell]
In: 0.0000 0.0000 0.5000 [3 per cell]